# 1
# NaNdNb4O12
Computed powder diffractogram, Cu Kα (weighted mean of Kα1 and Kα2). Input: the PBE geometry in Alexandria.
No peak broadening, texture or thermal motion is included.

The 10 most intense peaks (2θ from 5° to 70°), low angle first:
| 2θ/deg | intensity |
| --- | --- |
| 11.0 | 38 |
| 16.7 | 32 |
| 22.2 | 21 |
| 22.4 | 44 |
| 25.0 | 28 |
| 31.7 | 100 |
| 31.9 | 50 |
| 45.7 | 41 |
| 56.7 | 39 |
| 66.3 | 24 |

Structure:
a b c (Å): 8.945 8.945 8.945
angles (deg): 143.40 143.40 52.73
Fractional coordinates of all 18 atoms:
Na 0.000 0.000 0.000
Nd 0.500 0.500 0.000
Nb 0.129 0.629 0.500
Nb 0.371 0.871 0.500
Nb 0.629 0.129 0.500
Nb 0.871 0.371 0.500
O 0.000 0.500 0.500
O 0.144 0.144 0.515
O 0.144 0.629 0.000
O 0.250 0.750 0.500
O 0.371 0.371 0.515
O 0.371 0.856 0.000
O 0.500 0.000 0.500
O 0.629 0.144 0.000
O 0.629 0.629 0.485
O 0.750 0.250 0.500
O 0.856 0.371 0.000
O 0.856 0.856 0.485

=====

# 2
# Sm5Er4Mg
Computed powder diffractogram, Cu Kα (weighted mean of Kα1 and Kα2). Input: the PBE geometry in Alexandria.
No peak broadening, texture or thermal motion is included.

The 10 most intense peaks (2θ from 5° to 70°), low angle first:
| 2θ/deg | intensity |
| --- | --- |
| 28.9 | 5 |
| 30.9 | 100 |
| 35.4 | 36 |
| 36.8 | 14 |
| 50.9 | 13 |
| 52.0 | 21 |
| 58.9 | 4 |
| 60.8 | 29 |
| 62.7 | 10 |
| 64.4 | 11 |

Structure:
a b c (Å): 3.588 3.588 24.424
angles (deg): 90.00 90.00 90.00
Fractional coordinates of all 10 atoms:
Sm 0.000 0.000 0.000
Sm 0.000 0.000 0.204
Sm 0.000 0.000 0.409
Sm 0.000 0.000 0.591
Sm 0.000 0.000 0.796
Er 0.500 0.500 0.102
Er 0.500 0.500 0.307
Er 0.500 0.500 0.693
Er 0.500 0.500 0.898
Mg 0.500 0.500 0.500

=====

# 3
# Li2ErGaSn2
Computed powder diffractogram, Cu Kα (weighted mean of Kα1 and Kα2). Input: the PBE geometry in Alexandria.
No peak broadening, texture or thermal motion is included.

The 10 most intense peaks (2θ from 5° to 70°), low angle first:
| 2θ/deg | intensity |
| --- | --- |
| 10.4 | 100 |
| 24.2 | 21 |
| 25.9 | 38 |
| 31.7 | 20 |
| 32.1 | 16 |
| 32.5 | 26 |
| 33.8 | 76 |
| 37.6 | 50 |
| 41.0 | 25 |
| 44.2 | 20 |

Structure:
a b c (Å): 4.401 8.543 7.217
angles (deg): 90.00 90.00 90.00
Fractional coordinates of all 12 atoms:
Li 0.000 0.080 0.000
Li 0.000 0.920 0.500
Li 0.500 0.156 0.320
Li 0.500 0.844 0.820
Er 0.500 0.457 0.972
Er 0.500 0.543 0.472
Ga 0.000 0.338 0.651
Ga 0.000 0.662 0.151
Sn 0.000 0.342 0.253
Sn 0.000 0.658 0.753
Sn 0.500 0.157 0.722
Sn 0.500 0.843 0.222

=====

# 4
# Tl2SnPdI6
Computed powder diffractogram, Cu Kα (weighted mean of Kα1 and Kα2). Input: the PBE geometry in Alexandria.
No peak broadening, texture or thermal motion is included.

The 10 most intense peaks (2θ from 5° to 70°), low angle first:
| 2θ/deg | intensity |
| --- | --- |
| 22.6 | 38 |
| 26.1 | 39 |
| 26.3 | 88 |
| 27.5 | 38 |
| 30.9 | 94 |
| 31.2 | 100 |
| 31.5 | 38 |
| 34.1 | 45 |
| 35.0 | 50 |
| 39.3 | 38 |

Structure:
a b c (Å): 7.881 8.360 13.960
angles (deg): 90.00 123.86 90.00
Fractional coordinates of all 20 atoms:
Tl 0.215 0.086 0.245
Tl 0.215 0.414 0.745
Tl 0.785 0.586 0.255
Tl 0.785 0.914 0.755
Sn 0.500 0.000 0.000
Sn 0.500 0.500 0.500
Pd 0.000 0.000 0.500
Pd 0.000 0.500 0.000
I 0.148 0.212 0.961
I 0.148 0.288 0.461
I 0.253 0.686 0.960
I 0.253 0.814 0.460
I 0.322 0.007 0.740
I 0.322 0.493 0.240
I 0.678 0.507 0.760
I 0.678 0.993 0.260
I 0.747 0.186 0.540
I 0.747 0.314 0.040
I 0.852 0.712 0.539
I 0.852 0.788 0.039

=====

Number 3 is which compound?
Li2ErGaSn2